CeUCrO6: computed powder diffractogram (Cu Kα, 1.54184 Å), based on the GGA+U geometry in Alexandria.
Neutral-atom scattering factors, no anomalous dispersion.

Cell and atoms:
Unit cell a=5.4114 b=5.4114 c=10.0291 alpha=90.00 beta=90.00 gamma=120.00
Fractional positions:
Ce1 0.0000 0.0000 0.0000
Ce2 0.0000 0.0000 0.5000
U1 0.3333 0.6667 0.2500
U2 0.6667 0.3333 0.7500
Cr1 0.3333 0.6667 0.7500
Cr2 0.6667 0.3333 0.2500
O1 0.0123 0.3581 0.6393
O2 0.0123 0.6541 0.8607
O3 0.3459 0.3581 0.8607
O4 0.3459 0.9877 0.6393
O5 0.3581 0.0123 0.1393
O6 0.3581 0.3459 0.3607
O7 0.6419 0.6541 0.6393
O8 0.6419 0.9877 0.8607
O9 0.6541 0.0123 0.3607
O10 0.6541 0.6419 0.1393
O11 0.9877 0.3459 0.1393
O12 0.9877 0.6419 0.3607

Principal peaks in the range 10 to 90 degrees two-theta, sorted by position:
d [Å], Position (°2θ), Rel. int., hkl
5.015, 17.69, 13, 0 0 2
4.246, 20.92, 43, 1 0 1
3.424, 26.02, 100, 1 0 2
2.722, 32.91, 16, 1 0 3
2.706, 33.11, 47, 1 1 0
2.381, 37.78, 12, 1 1 2
2.123, 42.59, 26, 2 0 2
1.839, 49.57, 47, 1 1 4
1.670, 54.98, 25, 2 1 2
1.562, 59.14, 16, 3 0 0